[1]
The following is a calculated powder X-ray diffraction pattern of AgH12C4Se5N. It was derived from DFT lattice parameters and positions (PBE), using Cu Kα, 1.54184 Å.

Crystal structure
```
46
Lattice="5.793 -9.492 0.000 5.793 9.492 0.000 -4.316 0.000 6.240" Properties=species:S:1:pos:R:3 pbc="T T T"
Ag 3.635 9.127 3.120
Ag 5.793 -9.127 0.000
H -0.046 2.655 2.985
H 1.063 2.607 1.568
H 1.626 4.488 4.707
H 3.135 4.486 2.771
H 0.838 2.946 5.199
H 3.408 2.965 1.856
H 1.290 0.934 4.099
H -2.204 -2.655 6.105
H 2.359 0.861 2.658
H -1.095 -2.607 4.688
H 2.605 3.169 5.468
H 4.125 3.164 3.502
H 3.448 -0.934 0.979
H 0.201 -0.861 5.778
H 4.401 5.332 5.554
H 3.072 1.162 4.294
H 2.996 -2.946 2.079
H 1.250 -2.965 4.976
H 5.230 -1.162 1.174
H 3.784 -4.488 1.587
H 0.977 -4.486 5.891
H 4.763 -3.169 2.348
H 6.283 -3.164 0.382
H 6.559 -5.332 2.434
C 0.865 3.075 2.542
C 1.757 3.405 4.810
C 3.270 3.400 2.853
C 2.204 1.325 3.639
C -1.293 -3.075 5.662
C 4.362 -1.325 0.519
C 3.915 -3.405 1.690
C 1.112 -3.400 5.973
Se -2.003 1.246 5.258
Se 0.155 -1.246 2.138
Se 5.351 6.154 1.170
Se 7.208 2.854 2.803
Se 8.122 1.261 1.278
Se 5.405 2.287 6.108
Se 5.964 -1.261 4.398
Se 3.193 -6.154 4.290
Se 5.050 -2.854 5.923
Se 7.563 -2.287 2.988
N 2.028 2.804 3.458
N 4.186 -2.804 0.338
```

Largest 10 diffraction maxima, by angle, 2θ from 10° to 90°:
2theta, intensity
10.4, 1000
18.3, 142
23.6, 253
25.3, 176
26.5, 104
28.3, 76
29.9, 120
30.3, 93
37.1, 96
48.2, 86

---

[2]
The following is a calculated powder X-ray diffraction pattern of TbAgH2C2SO9. It was derived from DFT lattice parameters and positions (PBE), using Cu Kα, 1.54184 Å.

Crystal structure
```
32
Lattice="6.912 -3.477 0.000 6.912 3.477 0.000 -4.122 0.000 8.101" Properties=species:S:1:pos:R:3 pbc="T T T"
Tb 2.250 0.000 2.173
Tb 7.453 0.000 5.928
Ag -1.562 0.000 5.415
Ag 11.265 0.000 2.686
H 0.088 0.000 8.006
H 5.134 0.000 1.191
H 4.569 0.000 6.910
H 9.615 0.000 0.095
C -3.596 0.000 7.535
C 4.851 0.763 4.051
C 4.851 -0.763 4.051
C 13.299 0.000 0.566
S 1.660 0.000 5.804
S 8.043 0.000 2.297
O -0.119 0.000 1.764
O -2.373 0.000 7.877
O 0.987 1.200 6.406
O 3.937 1.337 3.386
O 1.408 0.000 4.330
O 4.192 0.000 0.882
O 5.766 1.337 4.715
O 3.096 0.000 6.099
O 0.987 -1.200 6.406
O 8.716 1.200 1.695
O 6.607 0.000 2.002
O 3.937 -1.337 3.386
O 5.511 0.000 7.219
O 8.295 0.000 3.771
O 5.766 -1.337 4.715
O 8.716 -1.200 1.695
O 12.076 0.000 0.224
O 9.822 0.000 6.337
```

Largest 10 diffraction maxima, by angle, 2θ from 10° to 90°:
2theta, intensity
10.9, 364
14.4, 317
14.6, 281
20.0, 755
21.9, 592
23.2, 873
25.6, 1000
31.3, 600
34.0, 368
38.8, 423

---

[3]
The following is a calculated powder X-ray diffraction pattern of Ag2C4I3N. It was derived from DFT lattice parameters and positions (PBE), using Cu Kα, 1.54184 Å.

Crystal structure
```
40
Lattice="17.119 0.000 0.000 0.000 7.459 0.000 0.000 0.000 9.248" Properties=species:S:1:pos:R:3 pbc="T T T"
Ag 1.404 0.334 0.289
Ag 1.404 3.395 0.289
Ag 7.155 4.064 4.913
Ag 7.155 7.125 4.913
Ag 9.964 0.334 4.335
Ag 9.964 3.395 4.335
Ag 15.715 4.064 8.960
Ag 15.715 7.125 8.960
C 0.738 1.865 5.537
C 1.752 0.907 5.634
C 1.752 2.822 5.634
C 3.830 1.865 4.327
C 4.729 5.594 8.951
C 6.807 4.637 1.010
C 6.807 6.552 1.010
C 7.821 5.594 0.913
C 9.298 1.865 8.335
C 10.312 0.907 8.239
C 10.312 2.822 8.239
C 12.389 1.865 0.297
C 13.289 5.594 4.921
C 15.366 4.637 3.615
C 15.366 6.552 3.615
C 16.381 5.594 3.711
I 0.915 5.594 7.862
I 1.275 5.594 3.331
I 3.689 1.865 0.391
I 4.870 5.594 5.015
I 7.284 1.865 7.955
I 7.644 1.865 3.238
I 9.475 5.594 6.010
I 9.835 5.594 1.293
I 12.248 1.865 4.234
I 13.430 5.594 8.858
I 15.844 1.865 5.917
I 16.204 1.865 1.386
N 2.856 1.865 5.068
N 5.704 5.594 0.444
N 11.415 1.865 8.804
N 14.263 5.594 4.180
```

Largest 10 diffraction maxima, by angle, 2θ from 10° to 90°:
2theta, intensity
10.3, 525
10.9, 1000
16.1, 405
19.2, 372
23.2, 921
24.0, 419
32.6, 326
34.7, 471
37.0, 358
42.0, 292

---

[4]
The following is a calculated powder X-ray diffraction pattern of KAgCO3. It was derived from DFT lattice parameters and positions (PBE), using Cu Kα, 1.54184 Å.

Crystal structure
```
24
Lattice="-2.931 2.969 10.239 2.931 -2.969 10.239 2.931 2.969 -10.239" Properties=species:S:1:pos:R:3 pbc="T T T"
K 2.931 1.485 -3.692
K 0.000 1.485 3.692
K 2.931 1.485 6.547
K 0.000 1.485 13.931
Ag 1.465 0.790 0.000
Ag 1.465 -0.790 10.239
Ag 1.465 3.759 0.000
Ag 1.465 2.179 10.239
C 2.931 -1.485 7.717
C 2.931 1.485 2.522
C 0.000 1.485 7.717
C 0.000 4.454 2.522
O 4.980 0.758 -1.877
O 2.931 -1.485 6.430
O 3.812 0.758 1.877
O 0.882 2.211 -1.877
O 2.931 1.485 3.809
O 2.049 2.211 1.877
O 0.882 0.758 8.361
O 0.000 1.485 6.430
O 2.049 0.758 12.116
O -0.882 2.211 8.361
O 0.000 4.454 3.809
O -2.049 2.211 12.116
```

Largest 10 diffraction maxima, by angle, 2θ from 10° to 90°:
2theta, intensity
17.3, 404
26.1, 565
31.8, 1000
34.1, 546
35.3, 482
36.4, 776
40.6, 858
44.3, 288
46.2, 462
47.1, 337

---

[5]
The following is a calculated powder X-ray diffraction pattern of KAgCO3. It was derived from DFT lattice parameters and positions (PBE), using Cu Kα, 1.54184 Å.

Crystal structure
```
24
Lattice="5.913 0.000 0.000 -0.015 5.983 0.000 -2.744 -2.983 10.248" Properties=species:S:1:pos:R:3 pbc="T T T"
K 0.000 0.000 0.000
K 0.053 2.974 2.883
K 0.199 -0.008 10.225
K 3.003 -0.004 2.897
Ag -0.455 -1.542 6.564
Ag 0.744 1.567 6.526
Ag 2.496 -1.568 6.589
Ag 3.684 1.419 6.539
C 0.058 -0.018 4.016
C 0.188 2.990 9.114
C 3.011 2.977 4.008
C 3.152 -0.003 9.116
O -0.010 2.976 0.155
O -2.135 -0.956 8.466
O -0.582 0.932 4.659
O 0.051 -0.024 2.729
O -0.433 2.043 8.450
O 0.712 -0.953 4.663
O 2.933 -0.022 0.152
O 0.832 -2.029 8.485
O 2.367 2.028 4.646
O 3.017 2.984 2.722
O 2.518 0.949 8.474
O 3.654 3.916 4.662
```

Largest 10 diffraction maxima, by angle, 2θ from 10° to 90°:
2theta, intensity
17.3, 366
26.1, 547
30.2, 271
31.1, 1000
34.1, 249
34.7, 457
36.1, 359
36.6, 332
40.2, 360
46.7, 507

---

[6]
The following is a calculated powder X-ray diffraction pattern of KAgCO3. It was derived from DFT lattice parameters and positions (PBE), using Cu Kα, 1.54184 Å.

Crystal structure
```
24
Lattice="-2.928 3.035 10.371 2.928 -3.035 10.371 2.928 3.035 -10.371" Properties=species:S:1:pos:R:3 pbc="T T T"
K 2.928 1.517 -3.735
K 0.000 1.517 3.735
K 2.928 1.517 6.635
K 0.000 1.517 14.106
Ag 1.464 0.817 0.000
Ag 1.464 -0.817 10.371
Ag 1.464 3.852 0.000
Ag 1.464 2.218 10.371
C 2.928 -1.517 7.731
C 2.928 1.517 2.639
C 0.000 1.517 7.731
C 0.000 4.552 2.639
O 0.815 0.705 -2.016
O 2.928 -1.517 6.445
O 2.113 0.705 2.016
O 2.113 -0.705 8.354
O 2.928 1.517 3.925
O 0.815 -0.705 12.387
O 2.113 3.740 -2.016
O 0.000 1.517 6.445
O 0.815 3.740 2.016
O 0.815 2.329 8.354
O 0.000 4.552 3.925
O 2.113 2.329 12.387
```

Largest 10 diffraction maxima, by angle, 2θ from 10° to 90°:
2theta, intensity
17.1, 294
25.8, 468
31.8, 747
33.5, 1000
35.2, 376
35.8, 507
39.9, 255
45.5, 235
46.8, 252
52.2, 241

---

[7]
The following is a calculated powder X-ray diffraction pattern of LiAg2C2N2O2. It was derived from DFT lattice parameters and positions (PBE), using Cu Kα, 1.54184 Å.

Crystal structure
```
9
Lattice="3.256 0.000 0.000 0.000 8.746 0.000 -1.082 0.000 5.440" Properties=species:S:1:pos:R:3 pbc="T T T"
Li 0.000 0.000 0.000
Ag 0.702 2.622 4.673
Ag 0.702 6.124 4.673
C 0.366 0.000 3.075
C 2.363 4.373 1.791
N 0.565 0.000 4.274
N 2.131 4.373 0.607
O 0.155 0.000 1.893
O 2.593 4.373 2.984
```

Largest 10 diffraction maxima, by angle, 2θ from 10° to 90°:
2theta, intensity
10.1, 275
16.3, 1000
26.1, 682
27.9, 299
29.5, 457
32.9, 221
34.8, 296
34.9, 284
35.3, 191
39.0, 321